# 1
For Pu2H2I3Br, a cell relaxed with GGA-PBE gives the theoretical X-ray powder pattern in this record (copper Kα).
Lines closer than 0.1° are merged.

Peak list (10 most intense, 10° ≤ 2θ ≤ 90°, by angle)
d_spacing  I_rel  index
7.811  83  0 0 2
3.383  31  1 0 1
3.167  88  1 0 2
2.885  32  0 1 3
2.592  100  1 0 4
2.001  43  1 1 0
1.586  19  1 1 6
1.584  23  0 2 4
1.397  23  1 1 8
1.242  21  2 1 4

Structure:
Cell lengths 4.001, 4.001, 15.623 Å; angles 90.00, 90.00, 120.00 degrees
Positions (direct):
Pu  0.000  0.000  0.000
Pu  0.000  0.000  0.490
H  0.333  0.667  0.491
H  0.667  0.333  0.997
I  0.333  0.667  0.862
I  0.667  0.333  0.353
I  0.667  0.333  0.628
Br  0.333  0.667  0.121

# 2
For Li2HgPd, a cell relaxed with GGA-PBE gives the theoretical X-ray powder pattern in this record (copper Kα).
Lines closer than 0.1° are merged.

Peak list (10 most intense, 10° ≤ 2θ ≤ 90°, by angle)
d_spacing  I_rel  index
3.600  75  0 0 2
3.583  27  1 0 1
2.921  88  1 1 0
2.268  100  1 1 2
2.066  38  2 0 0
1.791  51  2 0 2
1.532  26  1 1 4
1.357  20  2 0 4
1.353  19  2 2 2
1.228  28  3 1 2

Structure:
Cell lengths 4.131, 4.131, 7.200 Å; angles 90.00, 90.00, 90.00 degrees
Positions (direct):
Li  0.000  0.500  0.250
Li  0.000  0.500  0.750
Li  0.500  0.000  0.250
Li  0.500  0.000  0.750
Hg  0.000  0.000  0.000
Hg  0.500  0.500  0.500
Pd  0.000  0.000  0.500
Pd  0.500  0.500  0.000

# 3
For K2H6Os, a cell relaxed with GGA-PBE gives the theoretical X-ray powder pattern in this record (copper Kα).
Lines closer than 0.1° are merged.

Peak list (10 most intense, 10° ≤ 2θ ≤ 90°, by angle)
d_spacing  I_rel  index
4.860  91  0 1 0
4.264  29  1 0 0
3.207  100  1 0 -1
3.200  36  1 1 0
2.809  52  0 1 1
2.800  26  0 2 -1
2.342  24  1 -1 2
2.110  28  1 0 2
1.953  25  2 1 -1
1.686  15  1 2 1

Structure:
Cell lengths 4.264, 5.600, 5.614 Å; angles 119.83, 90.09, 90.11 degrees
Positions (direct):
K  0.206  0.333  0.167
K  0.794  0.667  0.833
H  0.295  0.306  0.653
H  0.295  0.846  0.653
H  0.295  0.847  0.193
H  0.705  0.153  0.807
H  0.705  0.154  0.347
H  0.705  0.694  0.347
Os  0.500  0.000  0.500